[1]
The following is a calculated X-ray diffraction stick pattern of Dy4NiB13. It was derived from the GGA-PBE geometry in the Materials Project, using Cu Kα (weighted mean of Kα1 and Kα2).
No peak broadening, texture or thermal motion is included.

Structural model:
a = 7.317 Å, b = 7.317 Å, c = 6.907 Å
α = 90.00°, β = 90.00°, γ = 90.00°
Space group P4/mnc (No. 128)
One atom of each set of equivalent atoms:
Dy 0.180 0.316 0.000 (multiplicity 8)
Ni 0.000 0.000 0.500 (multiplicity 2)
B 0.000 0.000 0.000 (multiplicity 2)
B 0.040 0.830 0.243 (multiplicity 16)
B 0.093 0.593 0.250 (multiplicity 8)

Peak list (10 most intense, 10 to 80 degrees two-theta, in order of rising 2θ)
- d 3.659, 2θ = 24.33°, I = 375, hkl 2 0 0
- d 3.453, 2θ = 25.80°, I = 587, hkl 0 0 2
- d 3.272, 2θ = 27.25°, I = 953, hkl 2 1 0
- d 2.511, 2θ = 35.75°, I = 380, hkl 2 0 2
- d 2.375, 2θ = 37.88°, I = 1000, hkl 2 1 2
- d 1.922, 2θ = 47.29°, I = 286, hkl 3 1 2
- d 1.775, 2θ = 51.49°, I = 369, hkl 4 1 0
- d 1.726, 2θ = 53.07°, I = 278, hkl 0 0 4
- d 1.578, 2θ = 58.47°, I = 393, hkl 4 1 2
- d 1.238, 2θ = 77.06°, I = 224, hkl 4 1 4

[2]
The following is a calculated X-ray diffraction stick pattern of SrReO2. It was derived from the GGA-PBE geometry in the Materials Project, using Cu Kα (weighted mean of Kα1 and Kα2).
No peak broadening, texture or thermal motion is included.

Structural model:
a = 6.240 Å, b = 6.240 Å, c = 12.225 Å
α = 90.00°, β = 90.00°, γ = 90.00°
Space group I4_1/amd (No. 141, origin choice 2)
One atom of each set of equivalent atoms:
Sr 0.000 0.000 0.000 (multiplicity 8)
Re 0.000 0.000 0.500 (multiplicity 8)
O 0.000 0.051 0.200 (multiplicity 16)

Peak list (10 most intense, 10 to 80 degrees two-theta, in order of rising 2θ)
- d 5.558, 2θ = 15.95°, I = 193, hkl 1 0 1
- d 3.412, 2θ = 26.12°, I = 118, hkl 1 0 3
- d 3.056, 2θ = 29.22°, I = 424, hkl 0 0 4
- d 2.779, 2θ = 32.21°, I = 1000, hkl 2 0 2
- d 2.206, 2θ = 40.90°, I = 378, hkl 2 2 0
- d 1.789, 2θ = 51.05°, I = 352, hkl 2 2 4
- d 1.706, 2θ = 53.73°, I = 302, hkl 2 0 6
- d 1.560, 2θ = 59.23°, I = 121, hkl 4 0 0
- d 1.390, 2θ = 67.39°, I = 151, hkl 4 0 4
- d 1.360, 2θ = 69.04°, I = 251, hkl 4 2 2

[3]
The following is a calculated X-ray diffraction stick pattern of Mg6TiNb. It was derived from the GGA-PBE geometry in the Materials Project, using Cu Kα (weighted mean of Kα1 and Kα2).
No peak broadening, texture or thermal motion is included.

Structural model:
a = 4.863 Å, b = 6.095 Å, c = 11.229 Å
α = 90.00°, β = 90.00°, γ = 90.00°
Space group Amm2 (No. 38)
One atom of each set of equivalent atoms:
Mg 0.000 0.000 0.000 (multiplicity 2)
Mg 0.000 0.242 0.248 (multiplicity 4)
Mg 0.500 0.000 0.846 (multiplicity 2)
Mg 0.500 0.243 0.600 (multiplicity 4)
Ti 0.000 0.000 0.473 (multiplicity 2)
Nb 0.500 0.000 0.373 (multiplicity 2)

Peak list (10 most intense, 10 to 80 degrees two-theta, in order of rising 2θ)
- d 5.614, 2θ = 15.78°, I = 271, hkl 0 0 2
- d 5.357, 2θ = 16.55°, I = 549, hkl 0 1 1
- d 3.190, 2θ = 27.97°, I = 118, hkl 0 1 3
- d 2.678, 2θ = 33.46°, I = 460, hkl 0 2 2
- d 2.431, 2θ = 36.97°, I = 1000, hkl 2 0 0
- d 2.346, 2θ = 38.37°, I = 653, hkl 1 2 2
- d 1.934, 2θ = 46.99°, I = 153, hkl 1 1 5
- d 1.800, 2θ = 50.71°, I = 270, hkl 2 2 2
- d 1.404, 2θ = 66.62°, I = 144, hkl 3 0 4
- d 1.291, 2θ = 73.32°, I = 239, hkl 2 4 0

[4]
The following is a calculated X-ray diffraction stick pattern of EuPSe3. It was derived from the GGA-PBE geometry in the Materials Project, using Cu Kα (weighted mean of Kα1 and Kα2).
No peak broadening, texture or thermal motion is included.

Structural model:
a = 7.036 Å, b = 7.821 Å, c = 11.846 Å
α = 90.00°, β = 124.49°, γ = 90.00°
Space group P2_1/c (No. 14)
One atom of each set of equivalent atoms:
Eu 0.214 0.113 0.251 (multiplicity 4)
P 0.126 0.606 0.064 (multiplicity 4)
Se 0.103 0.194 0.942 (multiplicity 4)
Se 0.277 0.699 0.954 (multiplicity 4)
Se 0.378 0.007 0.768 (multiplicity 4)

Peak list (10 most intense, 10 to 80 degrees two-theta, in order of rising 2θ)
- d 3.630, 2θ = 24.52°, I = 597, hkl 0 2 1
- d 3.075, 2θ = 29.04°, I = 502, hkl 2 1 -1
- d 3.052, 2θ = 29.26°, I = 964, hkl 0 2 2
- d 3.019, 2θ = 29.58°, I = 655, hkl 2 1 -3
- d 2.809, 2θ = 31.86°, I = 474, hkl 2 0 -4
- d 2.795, 2θ = 32.03°, I = 754, hkl 1 1 2
- d 2.733, 2θ = 32.77°, I = 481, hkl 1 1 -4
- d 2.541, 2θ = 35.32°, I = 534, hkl 2 2 -1
- d 2.502, 2θ = 35.90°, I = 578, hkl 0 2 3
- d 2.443, 2θ = 36.79°, I = 1000, hkl 0 0 4

[5]
The following is a calculated X-ray diffraction stick pattern of Zr3Sc. It was derived from the GGA-PBE geometry in the Materials Project, using Cu Kα (weighted mean of Kα1 and Kα2).
No peak broadening, texture or thermal motion is included.

Structural model:
a = 6.4959 Å, b = 6.4959 Å, c = 5.1663 Å
α = 90.00°, β = 90.00°, γ = 120.00°
Space group P6_3/mmc (No. 194)
One atom of each set of equivalent atoms:
Zr 0.1674 0.3348 0.2500 (multiplicity 6)
Sc 0.3333 0.6667 0.7500 (multiplicity 2)

Peak list (10 most intense, 10 to 80 degrees two-theta, in order of rising 2θ)
- d 3.805, 2θ = 23.38°, I = 72, hkl 1 0 1
- d 2.813, 2θ = 31.81°, I = 242, hkl 2 0 0
- d 2.583, 2θ = 34.73°, I = 253, hkl 0 0 2
- d 2.470, 2θ = 36.37°, I = 1000, hkl 2 0 1
- d 1.903, 2θ = 47.81°, I = 149, hkl 2 0 2
- d 1.624, 2θ = 56.68°, I = 176, hkl 2 2 0
- d 1.469, 2θ = 63.32°, I = 186, hkl 2 0 3
- d 1.375, 2θ = 68.21°, I = 196, hkl 2 2 2
- d 1.357, 2θ = 69.24°, I = 141, hkl 4 0 1
- d 1.235, 2θ = 77.24°, I = 34, hkl 4 0 2

[6]
The following is a calculated X-ray diffraction stick pattern of Ba4Ga3Si20. It was derived from the GGA-PBE geometry in the Materials Project, using Cu Kα (weighted mean of Kα1 and Kα2).
No peak broadening, texture or thermal motion is included.

Structural model:
a = 10.480 Å, b = 10.480 Å, c = 10.480 Å
α = 90.00°, β = 90.00°, γ = 90.00°
Space group Pm-3n (No. 223)
One atom of each set of equivalent atoms:
Ba 0.000 0.000 0.000 (multiplicity 2)
Ba 0.000 0.250 0.500 (multiplicity 6)
Ga 0.000 0.500 0.250 (multiplicity 6)
Si 0.000 0.302 0.118 (multiplicity 24)
Si 0.185 0.185 0.185 (multiplicity 16)

Peak list (10 most intense, 10 to 80 degrees two-theta, in order of rising 2θ)
- d 4.279, 2θ = 20.76°, I = 325, hkl 2 1 1
- d 3.025, 2θ = 29.52°, I = 360, hkl 2 2 2
- d 2.907, 2θ = 30.76°, I = 216, hkl 3 2 0
- d 2.801, 2θ = 31.95°, I = 1000, hkl 3 2 1
- d 2.620, 2θ = 34.22°, I = 313, hkl 4 0 0
- d 2.343, 2θ = 38.41°, I = 149, hkl 4 2 0
- d 1.853, 2θ = 49.18°, I = 154, hkl 4 4 0
- d 1.747, 2θ = 52.38°, I = 163, hkl 6 0 0
- d 1.700, 2θ = 53.93°, I = 398, hkl 5 3 2
- d 1.426, 2θ = 65.44°, I = 159, hkl 6 3 3

[7]
The following is a calculated X-ray diffraction stick pattern of Dy11Ge10. It was derived from the GGA-PBE geometry in the Materials Project, using Cu Kα (weighted mean of Kα1 and Kα2).
No peak broadening, texture or thermal motion is included.

Structural model:
a = 10.962 Å, b = 10.962 Å, c = 16.522 Å
α = 90.00°, β = 90.00°, γ = 90.00°
Space group I4/mmm (No. 139)
One atom of each set of equivalent atoms:
Dy 0.000 0.000 0.160 (multiplicity 4)
Dy 0.000 0.252 0.310 (multiplicity 16)
Dy 0.000 0.324 0.103 (multiplicity 16)
Dy 0.178 0.178 0.500 (multiplicity 8)
Ge 0.000 0.000 0.387 (multiplicity 4)
Ge 0.000 0.362 0.500 (multiplicity 8)
Ge 0.000 0.500 0.250 (multiplicity 4)
Ge 0.119 0.119 0.000 (multiplicity 8)
Ge 0.210 0.210 0.182 (multiplicity 16)

Peak list (10 most intense, 10 to 80 degrees two-theta, in order of rising 2θ)
- d 3.568, 2θ = 24.96°, I = 152, hkl 3 0 1
- d 2.740, 2θ = 32.68°, I = 1000, hkl 4 0 0
- d 2.660, 2θ = 33.70°, I = 950, hkl 3 2 3
- d 2.600, 2θ = 34.50°, I = 394, hkl 4 0 2
- d 2.584, 2θ = 34.72°, I = 428, hkl 3 3 0
- d 2.464, 2θ = 36.46°, I = 173, hkl 3 3 2
- d 2.451, 2θ = 36.67°, I = 309, hkl 3 0 5
- d 1.827, 2θ = 49.92°, I = 224, hkl 6 0 0
- d 1.733, 2θ = 52.82°, I = 169, hkl 5 2 5
- d 1.370, 2θ = 68.48°, I = 149, hkl 7 2 5